(1)
# Ca7InN4
Simulated powder diffractogram, Cu Kα X-rays. Input: a cell relaxed with PBE.

```
data_Ca7InN4
_chemical_formula_sum 'Ca14 In2 N8'
_cell_length_a 11.761
_cell_length_b 12.179
_cell_length_c 3.586
_cell_angle_alpha 90.00
_cell_angle_beta 90.00
_cell_angle_gamma 90.00
_symmetry_space_group_name_H-M 'P 21 21 2'
_symmetry_Int_Tables_number 18
loop_
_symmetry_equiv_pos_as_xyz
'x,y,z'
'-x,-y,z'
'x+1/2,-y+1/2,-z'
'-x+1/2,y+1/2,-z'
loop_
_atom_site_label
_atom_site_type_symbol
_atom_site_fract_x
_atom_site_fract_y
_atom_site_fract_z
_atom_site_occupancy
Ca1 Ca 0.000 0.000 0.000 1
Ca2 Ca 0.020 0.231 0.497 1
Ca3 Ca 0.230 0.071 0.502 1
Ca4 Ca 0.236 0.828 0.000 1
In1 In 0.000 0.500 0.898 1
N1 N 0.130 0.899 0.500 1
N2 N 0.140 0.169 0.000 1
```

Principal peaks in the range 2θ = 10–90°, by intensity:
- d 2.735, 2θ = 32.74°, I = 100
- d 2.942, 2θ = 30.38°, I = 43
- d 2.704, 2θ = 33.13°, I = 40
- d 3.837, 2θ = 23.18°, I = 22
- d 3.732, 2θ = 23.84°, I = 21
- d 1.766, 2θ = 51.75°, I = 20
- d 2.989, 2θ = 29.90°, I = 19
- d 2.427, 2θ = 37.04°, I = 19
- d 1.793, 2θ = 50.94°, I = 16
- d 1.655, 2θ = 55.52°, I = 14
- d 1.514, 2θ = 61.21°, I = 14
- d 2.405, 2θ = 37.40°, I = 12

(2)
# La3CuSiSe7
Simulated powder diffractogram, Cu Kα X-rays. Input: a cell relaxed with PBE.

```
data_La3CuSiSe7
_chemical_formula_sum 'La6 Cu2 Si2 Se14'
_cell_length_a 10.7852
_cell_length_b 10.7852
_cell_length_c 6.1549
_cell_angle_alpha 90.00
_cell_angle_beta 90.00
_cell_angle_gamma 120.00
_symmetry_space_group_name_H-M 'P 63'
_symmetry_Int_Tables_number 173
loop_
_symmetry_equiv_pos_as_xyz
'x,y,z'
'x-y,x,z+1/2'
'-y,x-y,z'
'-x,-y,z+1/2'
'-x+y,-x,z'
'y,-x+y,z+1/2'
loop_
_atom_site_label
_atom_site_type_symbol
_atom_site_fract_x
_atom_site_fract_y
_atom_site_fract_z
_atom_site_occupancy
La1 La 0.1265 0.3555 0.0000 1
Cu1 Cu 0.0000 0.0000 0.4588 1
Si1 Si 0.3333 0.6667 0.5879 1
Se1 Se 0.0895 0.2523 0.4822 1
Se2 Se 0.1084 0.5852 0.7331 1
Se3 Se 0.3333 0.6667 0.2188 1
```

Principal peaks in the range 2θ = 10–90°, by intensity:
- d 2.591, 2θ = 34.63°, I = 100
- d 2.923, 2θ = 30.59°, I = 86
- d 3.062, 2θ = 29.16°, I = 79
- d 2.778, 2θ = 32.22°, I = 70
- d 2.320, 2θ = 38.82°, I = 69
- d 2.696, 2θ = 33.23°, I = 68
- d 2.388, 2θ = 37.67°, I = 67
- d 2.570, 2θ = 34.92°, I = 46
- d 3.720, 2θ = 23.92°, I = 44
- d 1.982, 2θ = 45.78°, I = 32
- d 4.056, 2θ = 21.91°, I = 28
- d 1.935, 2θ = 46.96°, I = 28

(3)
# BaMgBi2O5
Simulated powder diffractogram, Cu Kα X-rays. Input: a cell relaxed with PBE.

```
data_BaMgBi2O5
_chemical_formula_sum 'Ba1 Mg1 Bi2 O5'
_cell_length_a 4.324
_cell_length_b 4.324
_cell_length_c 9.779
_cell_angle_alpha 90.00
_cell_angle_beta 90.00
_cell_angle_gamma 90.00
_symmetry_space_group_name_H-M 'P 4/m m m'
_symmetry_Int_Tables_number 123
_symmetry_space_group_name_Hall '-P 4 2'
loop_
_atom_site_label
_atom_site_type_symbol
_atom_site_fract_x
_atom_site_fract_y
_atom_site_fract_z
_atom_site_occupancy
Ba1 Ba 0.000 0.000 0.000 1
Mg1 Mg 0.500 0.500 0.000 1
Bi1 Bi 0.500 0.500 0.282 1
O1 O 0.000 0.500 0.160 1
O2 O 0.500 0.500 0.500 1
```

Principal peaks in the range 2θ = 10–90°, by intensity:
- d 3.239, 2θ = 27.54°, I = 100
- d 3.057, 2θ = 29.21°, I = 53
- d 4.324, 2θ = 20.54°, I = 48
- d 1.798, 2θ = 50.78°, I = 39
- d 3.954, 2θ = 22.48°, I = 32
- d 2.162, 2θ = 41.78°, I = 32
- d 2.230, 2θ = 40.45°, I = 32
- d 1.909, 2θ = 47.63°, I = 26
- d 1.782, 2θ = 51.27°, I = 19
- d 4.889, 2θ = 18.14°, I = 16
- d 1.375, 2θ = 68.20°, I = 16
- d 1.383, 2θ = 67.76°, I = 13

(4)
# SrMnN2
Simulated powder diffractogram, Cu Kα X-rays. Input: a cell relaxed with PBE.

```
data_SrMnN2
_chemical_formula_sum 'Sr4 Mn4 N8'
_cell_length_a 5.959
_cell_length_b 7.573
_cell_length_c 5.752
_cell_angle_alpha 90.00
_cell_angle_beta 114.07
_cell_angle_gamma 90.00
_symmetry_space_group_name_H-M 'P 1 21/c 1'
_symmetry_Int_Tables_number 14
loop_
_symmetry_equiv_pos_as_xyz
'x,y,z'
'-x,-y,-z'
'-x,y+1/2,-z+1/2'
'x,-y+1/2,z+1/2'
loop_
_atom_site_label
_atom_site_type_symbol
_atom_site_fract_x
_atom_site_fract_y
_atom_site_fract_z
_atom_site_occupancy
Sr1 Sr 0.181 0.074 0.323 1
Mn1 Mn 0.398 0.634 0.416 1
N1 N 0.263 0.084 0.913 1
N2 N 0.332 0.709 0.106 1
```

Principal peaks in the range 2θ = 10–90°, by intensity:
- d 2.866, 2θ = 31.20°, I = 100
- d 3.071, 2θ = 29.07°, I = 97
- d 2.755, 2θ = 32.50°, I = 87
- d 2.936, 2θ = 30.45°, I = 78
- d 2.288, 2θ = 39.38°, I = 54
- d 2.560, 2θ = 35.05°, I = 48
- d 1.705, 2θ = 53.77°, I = 39
- d 2.998, 2θ = 29.80°, I = 23
- d 1.850, 2θ = 49.24°, I = 22
- d 2.333, 2θ = 38.60°, I = 20
- d 1.370, 2θ = 68.50°, I = 19
- d 1.595, 2θ = 57.79°, I = 19

(5)
# V3Br
Simulated powder diffractogram, Cu Kα X-rays. Input: a cell relaxed with PBE.

```
data_V3Br
_chemical_formula_sum 'V6 Br2'
_cell_length_a 3.550
_cell_length_b 3.550
_cell_length_c 9.102
_cell_angle_alpha 90.00
_cell_angle_beta 90.00
_cell_angle_gamma 90.00
_symmetry_space_group_name_H-M 'I 4/m m m'
_symmetry_Int_Tables_number 139
_symmetry_space_group_name_Hall '-I 4 2'
loop_
_atom_site_label
_atom_site_type_symbol
_atom_site_fract_x
_atom_site_fract_y
_atom_site_fract_z
_atom_site_occupancy
V1 V 0.000 0.000 0.000 1
V2 V 0.000 0.500 0.250 1
Br1 Br 0.000 0.000 0.500 1
```

Principal peaks in the range 2θ = 10–90°, by intensity:
- d 2.198, 2θ = 41.06°, I = 100
- d 2.275, 2θ = 39.61°, I = 28
- d 1.775, 2θ = 51.48°, I = 25
- d 1.400, 2θ = 66.84°, I = 21
- d 1.298, 2θ = 72.85°, I = 16
- d 1.099, 2θ = 89.08°, I = 10
- d 1.255, 2θ = 75.78°, I = 7
- d 3.308, 2θ = 26.96°, I = 6
- d 4.551, 2θ = 19.51°, I = 3
- d 1.138, 2θ = 85.31°, I = 3
- d 2.307, 2θ = 39.05°, I = 2
- d 1.564, 2θ = 59.06°, I = 1

(6)
# SiO2
Simulated powder diffractogram, Cu Kα X-rays. Input: a cell relaxed with PBE.

```
data_SiO2
_chemical_formula_sum 'Si18 O36'
_cell_length_a 8.3200
_cell_length_b 8.3200
_cell_length_c 10.4179
_cell_angle_alpha 90.00
_cell_angle_beta 90.00
_cell_angle_gamma 120.00
_symmetry_space_group_name_H-M 'R -3 c'
_symmetry_Int_Tables_number 167
_symmetry_space_group_name_Hall '-R 3 2"c'
loop_
_atom_site_label
_atom_site_type_symbol
_atom_site_fract_x
_atom_site_fract_y
_atom_site_fract_z
_atom_site_occupancy
Si1 Si 0.0000 0.3751 0.2500 1
O1 O 0.0038 0.5010 0.6267 1
```

Principal peaks in the range 2θ = 10–90°, by intensity:
- d 4.160, 2θ = 21.36°, I = 100
- d 2.666, 2θ = 33.62°, I = 49
- d 2.111, 2θ = 42.85°, I = 11
- d 2.080, 2θ = 43.51°, I = 10
- d 1.784, 2θ = 51.19°, I = 9
- d 1.482, 2θ = 62.71°, I = 9
- d 1.207, 2θ = 79.41°, I = 8
- d 2.635, 2θ = 34.03°, I = 8
- d 2.963, 2θ = 30.16°, I = 7
- d 1.407, 2θ = 66.44°, I = 7
- d 1.963, 2θ = 46.26°, I = 6
- d 1.572, 2θ = 58.72°, I = 6

(7)
# Ca5Os2N4
Simulated powder diffractogram, Cu Kα X-rays. Input: a cell relaxed with PBE.

```
data_Ca5Os2N4
_chemical_formula_sum 'Ca20 Os8 N16'
_cell_length_a 8.299
_cell_length_b 8.299
_cell_length_c 12.213
_cell_angle_alpha 90.00
_cell_angle_beta 90.00
_cell_angle_gamma 90.00
_symmetry_space_group_name_H-M 'P 4/n c c'
_symmetry_Int_Tables_number 130
loop_
_symmetry_equiv_pos_as_xyz
'x,y,z'
'-x,-y,-z'
'-y+1/2,x,z'
'y+1/2,-x,-z'
'-x+1/2,-y+1/2,z'
'x+1/2,y+1/2,-z'
'y,-x+1/2,z'
'-y,x+1/2,-z'
'x+1/2,-y,-z+1/2'
'-x+1/2,y,z+1/2'
'-y,-x,-z+1/2'
'y,x,z+1/2'
'-x,y+1/2,-z+1/2'
'x,-y+1/2,z+1/2'
'y+1/2,x+1/2,-z+1/2'
'-y+1/2,-x+1/2,z+1/2'
loop_
_atom_site_label
_atom_site_type_symbol
_atom_site_fract_x
_atom_site_fract_y
_atom_site_fract_z
_atom_site_occupancy
Ca1 Ca 0.072 0.632 0.099 1
Ca2 Ca 0.250 0.250 0.167 1
Os1 Os 0.095 0.595 0.750 1
N1 N 0.054 0.641 0.897 1
```

Principal peaks in the range 2θ = 10–90°, by intensity:
- d 2.743, 2θ = 32.65°, I = 100
- d 3.551, 2θ = 25.08°, I = 81
- d 6.107, 2θ = 14.51°, I = 64
- d 2.624, 2θ = 34.17°, I = 41
- d 5.868, 2θ = 15.10°, I = 26
- d 2.040, 2θ = 44.40°, I = 25
- d 2.411, 2θ = 37.30°, I = 19
- d 1.441, 2θ = 64.68°, I = 18
- d 1.528, 2θ = 60.58°, I = 14
- d 1.956, 2θ = 46.42°, I = 13
- d 4.149, 2θ = 21.42°, I = 13
- d 1.804, 2θ = 50.59°, I = 13

(8)
# SmTlPd
Simulated powder diffractogram, Cu Kα X-rays. Input: a cell relaxed with PBE.

```
data_SmTlPd
_chemical_formula_sum 'Sm3 Tl3 Pd3'
_cell_length_a 7.9608
_cell_length_b 7.9608
_cell_length_c 3.8551
_cell_angle_alpha 90.00
_cell_angle_beta 90.00
_cell_angle_gamma 120.00
_symmetry_space_group_name_H-M 'P -6 2 m'
_symmetry_Int_Tables_number 189
_symmetry_space_group_name_Hall 'P -6 -2'
loop_
_atom_site_label
_atom_site_type_symbol
_atom_site_fract_x
_atom_site_fract_y
_atom_site_fract_z
_atom_site_occupancy
Sm1 Sm 0.0000 0.4030 0.0000 1
Tl1 Tl 0.0000 0.7343 0.5000 1
Pd1 Pd 0.0000 0.0000 0.0000 1
Pd2 Pd 0.3333 0.6667 0.5000 1
```

Principal peaks in the range 2θ = 10–90°, by intensity:
- d 2.769, 2θ = 32.33°, I = 100
- d 2.570, 2θ = 34.92°, I = 63
- d 2.606, 2θ = 34.42°, I = 51
- d 2.298, 2θ = 39.20°, I = 40
- d 1.463, 2θ = 63.58°, I = 33
- d 2.159, 2θ = 41.84°, I = 24
- d 1.550, 2θ = 59.67°, I = 21
- d 1.477, 2θ = 62.93°, I = 20
- d 1.928, 2θ = 47.15°, I = 20
- d 1.223, 2θ = 78.17°, I = 13
- d 1.179, 2θ = 81.68°, I = 11
- d 1.912, 2θ = 47.55°, I = 10

(9)
# Mg6ZrC
Simulated powder diffractogram, Cu Kα X-rays. Input: a cell relaxed with PBE.

```
data_Mg6ZrC
_chemical_formula_sum 'Mg12 Zr2 C2'
_cell_length_a 4.590
_cell_length_b 7.774
_cell_length_c 10.066
_cell_angle_alpha 90.00
_cell_angle_beta 90.00
_cell_angle_gamma 90.00
_symmetry_space_group_name_H-M 'A m m 2'
_symmetry_Int_Tables_number 38
loop_
_symmetry_equiv_pos_as_xyz
'x,y,z'
'-x,-y,z'
'-x,y,z'
'x,-y,z'
'x,y+1/2,z+1/2'
'-x,-y+1/2,z+1/2'
'-x,y+1/2,z+1/2'
'x,-y+1/2,z+1/2'
loop_
_atom_site_label
_atom_site_type_symbol
_atom_site_fract_x
_atom_site_fract_y
_atom_site_fract_z
_atom_site_occupancy
Mg1 Mg 0.000 0.000 0.000 1
Mg2 Mg 0.000 0.196 0.292 1
Mg3 Mg 0.500 0.000 0.793 1
Mg4 Mg 0.500 0.227 0.051 1
Zr1 Zr 0.000 0.000 0.568 1
C1 C 0.500 0.000 0.580 1
```

Principal peaks in the range 2θ = 10–90°, by intensity:
- d 2.556, 2θ = 35.11°, I = 100
- d 6.153, 2θ = 14.40°, I = 47
- d 5.033, 2θ = 17.62°, I = 24
- d 3.078, 2θ = 29.01°, I = 21
- d 2.516, 2θ = 35.68°, I = 20
- d 1.695, 2θ = 54.11°, I = 20
- d 3.679, 2θ = 24.19°, I = 20
- d 2.295, 2θ = 39.26°, I = 20
- d 2.509, 2θ = 35.78°, I = 15
- d 1.370, 2θ = 68.49°, I = 13
- d 4.590, 2θ = 19.34°, I = 12
- d 2.966, 2θ = 30.13°, I = 10